Record 1
Structure and theoretical powder diffractogram of Zn3WN4 (a cell relaxed with GGA-PBE; Cu Ka).
Neutral-atom scattering factors, no anomalous dispersion.

Structural model:
```
data_Zn3WN4
_chemical_formula_sum 'Zn6 W2 N8'
_cell_length_a 6.585
_cell_length_b 5.700
_cell_length_c 5.378
_cell_angle_alpha 90.00
_cell_angle_beta 90.00
_cell_angle_gamma 90.00
_symmetry_space_group_name_H-M 'P m n 21'
_symmetry_Int_Tables_number 31
_symmetry_space_group_name_Hall 'P 2ac -2'
loop_
_atom_site_label
_atom_site_type_symbol
_atom_site_fract_x
_atom_site_fract_y
_atom_site_fract_z
_atom_site_occupancy
Zn1 Zn 0.000 0.166 0.000 1
Zn2 Zn 0.249 0.332 0.501 1
W1 W 0.000 0.830 0.500 1
N1 N 0.000 0.143 0.383 1
N2 N 0.000 0.829 0.849 1
N3 N 0.236 0.674 0.384 1
```

Principal peaks in the range 2θ from 10° to 80°, low angle first:
2θ 20.61, 4.310 Å, rel. 13
2θ 21.33, 4.166 Å, rel. 16
2θ 22.73, 3.912 Å, rel. 10
2θ 31.38, 2.851 Å, rel. 37
2θ 33.32, 2.689 Å, rel. 33
2θ 35.65, 2.519 Å, rel. 100
2θ 46.42, 1.956 Å, rel. 19
2θ 55.86, 1.646 Å, rel. 26
2θ 61.06, 1.518 Å, rel. 30
2θ 66.62, 1.404 Å, rel. 25
2θ 68.05, 1.378 Å, rel. 16
2θ 75.49, 1.259 Å, rel. 4

***

Record 2
Structure and theoretical powder diffractogram of ZnW2N2 (a cell relaxed with GGA-PBE; Cu Ka).
Neutral-atom scattering factors, no anomalous dispersion.

Structural model:
```
data_ZnW2N2
_chemical_formula_sum 'Zn1 W2 N2'
_cell_length_a 3.261
_cell_length_b 3.261
_cell_length_c 7.142
_cell_angle_alpha 90.00
_cell_angle_beta 90.00
_cell_angle_gamma 90.00
_symmetry_space_group_name_H-M 'P -4 m 2'
_symmetry_Int_Tables_number 115
_symmetry_space_group_name_Hall 'P -4 -2'
loop_
_atom_site_label
_atom_site_type_symbol
_atom_site_fract_x
_atom_site_fract_y
_atom_site_fract_z
_atom_site_occupancy
Zn1 Zn 0.000 0.000 0.000 1
W1 W 0.500 0.500 0.322 1
N1 N 0.000 0.500 0.822 1
```

Principal peaks in the range 2θ from 10° to 80°, low angle first:
2θ 24.93, 3.571 Å, rel. 22
2θ 27.34, 3.261 Å, rel. 100
2θ 30.12, 2.967 Å, rel. 99
2θ 37.34, 2.408 Å, rel. 94
2θ 37.79, 2.381 Å, rel. 41
2θ 39.06, 2.306 Å, rel. 78
2θ 47.27, 1.923 Å, rel. 44
2θ 55.47, 1.656 Å, rel. 67
2θ 56.42, 1.631 Å, rel. 33
2θ 65.29, 1.429 Å, rel. 24
2θ 69.63, 1.350 Å, rel. 30
2θ 69.92, 1.345 Å, rel. 28

***

Record 3
Structure and theoretical powder diffractogram of ZrWN3 (a cell relaxed with GGA-PBE; Cu Ka).
Neutral-atom scattering factors, no anomalous dispersion.

Structural model:
```
data_ZrWN3
_chemical_formula_sum 'Zr4 W4 N12'
_cell_length_a 5.751
_cell_length_b 6.381
_cell_length_c 7.872
_cell_angle_alpha 108.15
_cell_angle_beta 94.30
_cell_angle_gamma 92.63
_symmetry_space_group_name_H-M 'P -1'
_symmetry_Int_Tables_number 2
_symmetry_space_group_name_Hall '-P 1'
loop_
_atom_site_label
_atom_site_type_symbol
_atom_site_fract_x
_atom_site_fract_y
_atom_site_fract_z
_atom_site_occupancy
Zr1 Zr 0.049 0.269 0.033 1
Zr2 Zr 0.374 0.398 0.659 1
W1 W 0.135 0.818 0.416 1
W2 W 0.475 0.070 0.177 1
N1 N 0.067 0.396 0.809 1
N2 N 0.174 0.134 0.466 1
N3 N 0.230 0.953 0.938 1
N4 N 0.327 0.709 0.567 1
N5 N 0.348 0.351 0.203 1
N6 N 0.400 0.816 0.246 1
```

Principal peaks in the range 2θ from 10° to 80°, low angle first:
2θ 14.65, 6.047 Å, rel. 54
2θ 22.11, 4.020 Å, rel. 100
2θ 23.77, 3.743 Å, rel. 52
2θ 27.33, 3.264 Å, rel. 35
2θ 28.02, 3.184 Å, rel. 43
2θ 29.84, 2.994 Å, rel. 41
2θ 31.97, 2.800 Å, rel. 31
2θ 32.47, 2.758 Å, rel. 90
2θ 32.78, 2.732 Å, rel. 55
2θ 34.45, 2.604 Å, rel. 31
2θ 35.21, 2.549 Å, rel. 44
2θ 37.82, 2.379 Å, rel. 30

***

Record 4
Structure and theoretical powder diffractogram of Zn3N (a cell relaxed with GGA-PBE; Cu Ka).
Neutral-atom scattering factors, no anomalous dispersion.

Structural model:
```
data_Zn3N
_chemical_formula_sum 'Zn6 N2'
_cell_length_a 3.524
_cell_length_b 3.524
_cell_length_c 8.222
_cell_angle_alpha 90.00
_cell_angle_beta 90.00
_cell_angle_gamma 90.00
_symmetry_space_group_name_H-M 'I 4/m m m'
_symmetry_Int_Tables_number 139
_symmetry_space_group_name_Hall '-I 4 2'
loop_
_atom_site_label
_atom_site_type_symbol
_atom_site_fract_x
_atom_site_fract_y
_atom_site_fract_z
_atom_site_occupancy
Zn1 Zn 0.000 0.000 0.000 1
Zn2 Zn 0.000 0.500 0.250 1
N1 N 0.000 0.000 0.500 1
```

Principal peaks in the range 2θ from 10° to 80°, low angle first:
2θ 21.62, 4.111 Å, rel. 9
2θ 27.54, 3.239 Å, rel. 20
2θ 36.04, 2.492 Å, rel. 5
2θ 41.75, 2.163 Å, rel. 7
2θ 42.42, 2.131 Å, rel. 100
2θ 44.06, 2.055 Å, rel. 22
2θ 51.89, 1.762 Å, rel. 27
2θ 59.74, 1.548 Å, rel. 5
2θ 68.70, 1.366 Å, rel. 3
2θ 70.38, 1.338 Å, rel. 20
2θ 76.45, 1.246 Å, rel. 8
2θ 79.89, 1.201 Å, rel. 14

***

Record 5
Structure and theoretical powder diffractogram of Zn3N (a cell relaxed with GGA-PBE; Cu Ka).
Neutral-atom scattering factors, no anomalous dispersion.

Structural model:
```
data_Zn3N
_chemical_formula_sum 'Zn3 N1'
_cell_length_a 3.714
_cell_length_b 3.714
_cell_length_c 3.714
_cell_angle_alpha 90.00
_cell_angle_beta 90.00
_cell_angle_gamma 90.00
_symmetry_space_group_name_H-M 'P m -3 m'
_symmetry_Int_Tables_number 221
_symmetry_space_group_name_Hall '-P 4 2 3'
loop_
_atom_site_label
_atom_site_type_symbol
_atom_site_fract_x
_atom_site_fract_y
_atom_site_fract_z
_atom_site_occupancy
Zn1 Zn 0.000 0.000 0.500 1
N1 N 0.500 0.500 0.500 1
```

Principal peaks in the range 2θ from 10° to 80°, low angle first:
2θ 23.96, 3.714 Å, rel. 21
2θ 34.14, 2.626 Å, rel. 18
2θ 42.14, 2.144 Å, rel. 100
2θ 49.06, 1.857 Å, rel. 47
2θ 55.31, 1.661 Å, rel. 9
2θ 61.12, 1.516 Å, rel. 7
2θ 71.91, 1.313 Å, rel. 27
2θ 77.03, 1.238 Å, rel. 4

***

Record 6
Structure and theoretical powder diffractogram of ZrZn3N4 (a cell relaxed with GGA-PBE; Cu Ka).
Neutral-atom scattering factors, no anomalous dispersion.

Structural model:
```
data_ZrZn3N4
_chemical_formula_sum 'Zr2 Zn6 N8'
_cell_length_a 6.707
_cell_length_b 5.844
_cell_length_c 5.358
_cell_angle_alpha 90.00
_cell_angle_beta 90.00
_cell_angle_gamma 90.00
_symmetry_space_group_name_H-M 'P m n 21'
_symmetry_Int_Tables_number 31
_symmetry_space_group_name_Hall 'P 2ac -2'
loop_
_atom_site_label
_atom_site_type_symbol
_atom_site_fract_x
_atom_site_fract_y
_atom_site_fract_z
_atom_site_occupancy
Zr1 Zr 0.000 0.167 0.000 1
Zn1 Zn 0.000 0.824 0.499 1
Zn2 Zn 0.250 0.336 0.499 1
N1 N 0.000 0.162 0.607 1
N2 N 0.000 0.826 0.121 1
N3 N 0.246 0.662 0.621 1
```

Principal peaks in the range 2θ from 10° to 80°, low angle first:
2θ 30.59, 2.922 Å, rel. 22
2θ 30.74, 2.909 Å, rel. 42
2θ 33.45, 2.679 Å, rel. 53
2θ 34.98, 2.565 Å, rel. 49
2θ 35.10, 2.556 Å, rel. 100
2θ 46.06, 1.971 Å, rel. 20
2θ 54.47, 1.684 Å, rel. 30
2θ 54.74, 1.677 Å, rel. 15
2θ 60.83, 1.523 Å, rel. 43
2θ 65.45, 1.426 Å, rel. 27
2θ 65.69, 1.421 Å, rel. 13
2θ 66.63, 1.404 Å, rel. 15

***

Record 7
Structure and theoretical powder diffractogram of Zr3N4 (a cell relaxed with GGA-PBE; Cu Ka).
Neutral-atom scattering factors, no anomalous dispersion.

Structural model:
```
data_Zr3N4
_chemical_formula_sum 'Zr9 N12'
_cell_length_a 3.4653
_cell_length_b 3.4653
_cell_length_c 25.4771
_cell_angle_alpha 90.00
_cell_angle_beta 90.00
_cell_angle_gamma 120.00
_symmetry_space_group_name_H-M 'R -3 m'
_symmetry_Int_Tables_number 166
_symmetry_space_group_name_Hall '-R 3 2"'
loop_
_atom_site_label
_atom_site_type_symbol
_atom_site_fract_x
_atom_site_fract_y
_atom_site_fract_z
_atom_site_occupancy
Zr1 Zr 0.0000 0.0000 0.0000 1
Zr2 Zr 0.0000 0.0000 0.2223 1
N1 N 0.0000 0.0000 0.1321 1
N2 N 0.0000 0.0000 0.3783 1
```

Principal peaks in the range 2θ from 10° to 80°, low angle first:
2θ 29.98, 2.980 Å, rel. 39
2θ 30.61, 2.921 Å, rel. 17
2θ 31.61, 2.831 Å, rel. 52
2θ 32.99, 2.715 Å, rel. 64
2θ 34.69, 2.586 Å, rel. 100
2θ 41.34, 2.184 Å, rel. 32
2θ 52.84, 1.733 Å, rel. 52
2θ 56.05, 1.641 Å, rel. 26
2θ 59.40, 1.556 Å, rel. 20
2θ 62.89, 1.478 Å, rel. 42
2θ 63.72, 1.461 Å, rel. 11
2θ 64.77, 1.439 Å, rel. 15

***

Record 8
Structure and theoretical powder diffractogram of Zr3N4 (a cell relaxed with GGA-PBE; Cu Ka).
Neutral-atom scattering factors, no anomalous dispersion.

Structural model:
Unit cell a=9.211 b=9.211 c=9.211 alpha=90.00 beta=90.00 gamma=90.00
Space group Fd-3m (No. 227, origin choice 2)
Asymmetric unit:
Zr: 0.000 0.000 0.000 x16
Zr: 0.125 0.125 0.625 x8
N: 0.008 0.008 0.242 x32

Principal peaks in the range 2θ from 10° to 80°, low angle first:
2θ 16.67, 5.318 Å, rel. 7
2θ 27.39, 3.257 Å, rel. 27
2θ 32.23, 2.777 Å, rel. 100
2θ 33.71, 2.659 Å, rel. 21
2θ 39.12, 2.303 Å, rel. 12
2θ 48.41, 1.880 Å, rel. 11
2θ 51.56, 1.773 Å, rel. 36
2θ 56.52, 1.628 Å, rel. 40
2θ 63.92, 1.456 Å, rel. 4
2θ 66.57, 1.405 Å, rel. 12
2θ 67.44, 1.389 Å, rel. 10
2θ 77.56, 1.231 Å, rel. 5

***

Record 9
Structure and theoretical powder diffractogram of Zr3N4 (a cell relaxed with GGA-PBE; Cu Ka).
Neutral-atom scattering factors, no anomalous dispersion.

Structural model:
```
data_Zr3N4
_chemical_formula_sum 'Zr12 N16'
_cell_length_a 6.812
_cell_length_b 6.812
_cell_length_c 6.812
_cell_angle_alpha 90.00
_cell_angle_beta 90.00
_cell_angle_gamma 90.00
_symmetry_space_group_name_H-M 'I -4 3 d'
_symmetry_Int_Tables_number 220
_symmetry_space_group_name_Hall 'I -4bd 2c 3'
loop_
_atom_site_label
_atom_site_type_symbol
_atom_site_fract_x
_atom_site_fract_y
_atom_site_fract_z
_atom_site_occupancy
Zr1 Zr 0.000 0.250 0.375 1
N1 N 0.068 0.068 0.068 1
```

Principal peaks in the range 2θ from 10° to 80°, low angle first:
2θ 32.19, 2.781 Å, rel. 100
2θ 37.34, 2.408 Å, rel. 8
2θ 41.94, 2.154 Å, rel. 59
2θ 50.11, 1.820 Å, rel. 32
2θ 53.84, 1.703 Å, rel. 2
2θ 60.82, 1.523 Å, rel. 27
2θ 64.13, 1.452 Å, rel. 17
2θ 67.35, 1.390 Å, rel. 5
2θ 70.49, 1.336 Å, rel. 23
2θ 76.62, 1.244 Å, rel. 6
2θ 79.62, 1.204 Å, rel. 1

***

Record 10
Structure and theoretical powder diffractogram of Zr3N2 (a cell relaxed with GGA-PBE; Cu Ka).
Neutral-atom scattering factors, no anomalous dispersion.

Structural model:
```
data_Zr3N2
_chemical_formula_sum 'Zr18 N12'
_cell_length_a 5.6801
_cell_length_b 5.6801
_cell_length_c 15.7875
_cell_angle_alpha 90.00
_cell_angle_beta 90.00
_cell_angle_gamma 120.00
_symmetry_space_group_name_H-M 'R -3 c'
_symmetry_Int_Tables_number 167
_symmetry_space_group_name_Hall '-R 3 2"c'
loop_
_atom_site_label
_atom_site_type_symbol
_atom_site_fract_x
_atom_site_fract_y
_atom_site_fract_z
_atom_site_occupancy
Zr1 Zr 0.0000 0.3254 0.2500 1
N1 N 0.0000 0.0000 0.1612 1
```

Principal peaks in the range 2θ from 10° to 80°, low angle first:
2θ 21.28, 4.175 Å, rel. 2
2θ 31.50, 2.840 Å, rel. 15
2θ 34.07, 2.631 Å, rel. 21
2θ 35.93, 2.499 Å, rel. 100
2θ 47.08, 1.930 Å, rel. 21
2θ 56.09, 1.640 Å, rel. 21
2θ 62.20, 1.492 Å, rel. 19
2θ 65.76, 1.420 Å, rel. 2
2θ 67.28, 1.392 Å, rel. 17
2θ 68.43, 1.371 Å, rel. 14
2θ 71.74, 1.316 Å, rel. 3
2θ 76.18, 1.250 Å, rel. 4